Record 1
Starting from a PBE-relaxed structure, the powder diffraction line list of BaZnOsO5 was calculated for CuKα.
Lines closer than 0.1° are merged.

Largest 8 diffraction maxima, most intense first, 10° ≤ 2θ ≤ 80°:
d (Å)	I_rel	hkl
3.428	100	1 1 -2
2.879	96	1 3 0
3.226	74	2 0 0
2.812	58	0 2 2
5.363	43	1 1 0
2.531	30	2 2 -2
1.788	29	3 3 0
2.569	29	1 1 2

Cell and atoms:
```
data_BaZnOsO5
_cell_length_a 6.9463
_cell_length_b 9.6513
_cell_length_c 7.4502
_cell_angle_alpha 90.00
_cell_angle_beta 111.76
_cell_angle_gamma 90.00
_space_group_name_H-M_alt 'C 1 2/c 1'
_space_group_IT_number 15
_space_group_name_Hall '-C 2yc'
loop_
_atom_site_label
_atom_site_fract_x
_atom_site_fract_y
_atom_site_fract_z
Ba1 0.0000 0.1648 0.2500
Zn1 0.0000 0.1931 0.7500
Os1 0.0000 0.5000 0.0000
O1 0.0000 0.4599 0.2500
O2 0.0914 0.3108 0.5820
O3 0.2136 0.0617 0.9206
```

Record 2
Starting from a PBE-relaxed structure, the powder diffraction line list of PaZnCu was calculated for CuKα.
Lines closer than 0.1° are merged.

Largest 8 diffraction maxima, most intense first, 10° ≤ 2θ ≤ 80°:
d (Å)	I_rel	hkl
2.448	100	1 0 1
2.246	60	1 1 0
3.890	44	1 0 0
1.655	31	2 0 1
1.332	30	2 1 1
1.289	20	1 1 2
1.297	10	3 0 0
1.945	7	2 0 0

Cell and atoms:
```
data_PaZnCu
_cell_length_a 4.4921
_cell_length_b 4.4921
_cell_length_c 3.1497
_cell_angle_alpha 90.00
_cell_angle_beta 90.00
_cell_angle_gamma 120.00
_space_group_name_H-M_alt 'P -6 m 2'
_space_group_IT_number 187
_space_group_name_Hall 'P -6 2'
loop_
_atom_site_label
_atom_site_fract_x
_atom_site_fract_y
_atom_site_fract_z
Pa1 0.0000 0.0000 0.0000
Zn1 0.3333 0.6667 0.5000
Cu1 0.6667 0.3333 0.5000
```

Record 3
Starting from a PBE-relaxed structure, the powder diffraction line list of La2Pr4Nd2Dy was calculated for CuKα.
Lines closer than 0.1° are merged.

Largest 8 diffraction maxima, most intense first, 10° ≤ 2θ ≤ 80°:
d (Å)	I_rel	hkl
2.907	100	3 1 -2
2.765	84	3 1 1
2.983	49	0 0 3
3.202	36	6 0 -1
1.581	30	9 1 1
1.861	25	9 1 -2
1.739	23	3 1 -5
2.325	17	6 0 -4

Cell and atoms:
```
data_La2Pr4Nd2Dy
_cell_length_a 19.3246
_cell_length_b 3.7291
_cell_length_c 9.9189
_cell_angle_alpha 90.00
_cell_angle_beta 115.55
_cell_angle_gamma 90.00
_space_group_name_H-M_alt 'C 1 2/m 1'
_space_group_IT_number 12
_space_group_name_Hall '-C 2y'
loop_
_atom_site_label
_atom_site_fract_x
_atom_site_fract_y
_atom_site_fract_z
La1 0.1652 0.0000 0.4995
Pr1 0.0181 0.0000 0.8299
Pr2 0.1850 0.5000 0.8325
Nd1 0.1477 0.5000 0.1681
Dy1 0.0000 0.5000 0.5000
```

Record 4
Starting from a PBE-relaxed structure, the powder diffraction line list of Na2NpI5 was calculated for CuKα.
Lines closer than 0.1° are merged.

Largest 8 diffraction maxima, most intense first, 10° ≤ 2θ ≤ 80°:
d (Å)	I_rel	hkl
5.476	100	1 1 1
3.137	95	1 3 3
7.444	71	0 2 0
3.174	69	2 0 0
5.412	68	0 2 2
2.706	65	0 4 4
2.059	59	2 4 4
3.366	41	0 4 2

Cell and atoms:
```
data_Na2NpI5
_cell_length_a 6.3483
_cell_length_b 14.8888
_cell_length_c 15.7610
_cell_angle_alpha 90.00
_cell_angle_beta 90.00
_cell_angle_gamma 90.00
_space_group_name_H-M_alt 'F m m m'
_space_group_IT_number 69
_space_group_name_Hall '-F 2 2'
loop_
_atom_site_label
_atom_site_fract_x
_atom_site_fract_y
_atom_site_fract_z
Na1 0.0000 0.0000 0.1966
Np1 0.0000 0.0000 0.5000
I1 0.0000 0.0000 0.0000
I2 0.0000 0.1353 0.3514
```

Record 5
Starting from a PBE-relaxed structure, the powder diffraction line list of Ca2ScOsO8 was calculated for CuKα.
Lines closer than 0.1° are merged.

Largest 8 diffraction maxima, most intense first, 10° ≤ 2θ ≤ 80°:
d (Å)	I_rel	hkl
3.581	100	1 0 -1
3.524	83	1 0 1
2.687	83	1 2 0
6.460	83	0 1 0
4.065	60	0 1 1
5.230	58	0 0 1
2.748	56	0 2 1
4.840	55	1 0 0

Cell and atoms:
```
data_Ca2ScOsO8
_cell_length_a 4.8411
_cell_length_b 6.4602
_cell_length_c 5.2302
_cell_angle_alpha 90.00
_cell_angle_beta 90.91
_cell_angle_gamma 90.00
_space_group_name_H-M_alt 'P 1 2/m 1'
_space_group_IT_number 10
_space_group_name_Hall '-P 2y'
loop_
_atom_site_label
_atom_site_fract_x
_atom_site_fract_y
_atom_site_fract_z
Ca1 0.0000 0.2484 0.0000
Sc1 0.5000 0.5000 0.5000
Os1 0.5000 0.0000 0.5000
O1 0.2774 0.0000 0.2080
O2 0.2799 0.5000 0.1655
O3 0.2846 0.2158 0.6372
```

Record 6
Starting from a PBE-relaxed structure, the powder diffraction line list of Tb2Mg3Zn4 was calculated for CuKα.
Lines closer than 0.1° are merged.

Largest 8 diffraction maxima, most intense first, 10° ≤ 2θ ≤ 80°:
d (Å)	I_rel	hkl
2.737	100	1 5 1
2.634	96	2 2 1
2.777	85	1 3 2
2.416	65	0 2 3
2.341	63	2 0 2
4.217	56	0 4 0
8.433	45	0 2 0
2.143	39	1 7 1

Cell and atoms:
```
data_Tb2Mg3Zn4
_cell_length_a 5.9601
_cell_length_b 16.8663
_cell_length_c 7.5650
_cell_angle_alpha 90.00
_cell_angle_beta 90.00
_cell_angle_gamma 90.00
_space_group_name_H-M_alt 'C m c e'
_space_group_IT_number 64
_space_group_name_Hall '-C 2ac 2'
loop_
_atom_site_label
_atom_site_fract_x
_atom_site_fract_y
_atom_site_fract_z
Tb1 0.0000 0.0952 0.1023
Mg1 0.0000 0.0000 0.5000
Mg2 0.2500 0.2375 0.7500
Zn1 0.0000 0.1606 0.4829
Zn2 0.2500 0.0723 0.7500
```

Record 7
Starting from a PBE-relaxed structure, the powder diffraction line list of KLaZrNbO6 was calculated for CuKα.
Lines closer than 0.1° are merged.

Largest 8 diffraction maxima, most intense first, 10° ≤ 2θ ≤ 80°:
d (Å)	I_rel	hkl
2.921	100	2 2 0
1.686	39	4 2 2
2.065	35	4 0 0
1.460	21	4 4 0
4.769	18	1 1 1
1.306	17	6 2 0
2.491	11	3 1 1
1.895	5	3 3 1

Cell and atoms:
```
data_KLaZrNbO6
_cell_length_a 8.2606
_cell_length_b 8.2606
_cell_length_c 8.2606
_cell_angle_alpha 90.00
_cell_angle_beta 90.00
_cell_angle_gamma 90.00
_space_group_name_H-M_alt 'F -4 3 m'
_space_group_IT_number 216
_space_group_name_Hall 'F -4 2 3'
loop_
_atom_site_label
_atom_site_fract_x
_atom_site_fract_y
_atom_site_fract_z
K1 0.0000 0.0000 0.0000
La1 0.0000 0.0000 0.5000
Zr1 0.2500 0.2500 0.7500
Nb1 0.2500 0.2500 0.2500
O1 0.0045 0.2500 0.2500
```